[1]
Structure and theoretical PXRD pattern of CrFe2O5 (a PBE+U-relaxed structure; Cu Kα X-rays).

Main lines, sorted by position (2θ from 10° to 90°):
2θ/deg, I_rel
17.85, 54
25.23, 100
32.58, 84
36.07, 39
37.31, 30
45.68, 34
48.20, 34
59.54, 28

Cell and atoms:
Cell: 5.3197 5.3197 9.8935 Å, 90.00 90.00 138.43°
Fractional coordinates of all 16 atoms:
1 Cr 0.1841 0.8159 0.7500
2 Cr 0.8159 0.1841 0.2500
3 Fe 0.1392 0.8608 0.0624
4 Fe 0.1392 0.8608 0.4376
5 Fe 0.8608 0.1392 0.5624
6 Fe 0.8608 0.1392 0.9376
7 O 0.0494 0.9506 0.6182
8 O 0.0494 0.9506 0.8818
9 O 0.2512 0.7488 0.2500
10 O 0.3055 0.6945 0.5828
11 O 0.3055 0.6945 0.9172
12 O 0.6945 0.3055 0.0828
13 O 0.6945 0.3055 0.4172
14 O 0.7488 0.2512 0.7500
15 O 0.9506 0.0494 0.1182
16 O 0.9506 0.0494 0.3818



[2]
Structure and theoretical PXRD pattern of Fe4O3F5 (a PBE+U-relaxed structure; Cu Kα X-rays).

Main lines, sorted by position (2θ from 10° to 90°):
2θ/deg, I_rel
25.77, 100
26.21, 98
34.42, 97
51.19, 29
51.30, 30
51.68, 25
51.79, 26
59.89, 22

Cell and atoms:
Cell: 4.8375 6.1784 9.7219 Å, 90.00 90.95 90.00°
Fractional coordinates of all 24 atoms:
1 Fe 0.0000 0.0038 0.0000
2 Fe 0.0000 0.9962 0.5000
3 Fe 0.0658 0.4909 0.0373
4 Fe 0.0658 0.5091 0.5373
5 Fe 0.5350 0.2481 0.7633
6 Fe 0.5350 0.7519 0.2633
7 Fe 0.5685 0.2492 0.2452
8 Fe 0.5685 0.7508 0.7452
9 O 0.3563 0.4982 0.6727
10 O 0.3563 0.5018 0.1727
11 O 0.7021 0.0004 0.3444
12 O 0.7021 0.9996 0.8444
13 O 0.8483 0.2590 0.1060
14 O 0.8483 0.7410 0.6060
15 F 0.2227 0.2655 0.4204
16 F 0.2227 0.7345 0.9204
17 F 0.2419 0.2652 0.9116
18 F 0.2419 0.7348 0.4116
19 F 0.3340 0.0046 0.6572
20 F 0.3340 0.9954 0.1572
21 F 0.7469 0.4999 0.3638
22 F 0.7469 0.5001 0.8638
23 F 0.8373 0.2644 0.6143
24 F 0.8373 0.7356 0.1143



[3]
Structure and theoretical PXRD pattern of MgMn2O5 (a PBE+U-relaxed structure; Cu Kα X-rays).

Main lines, sorted by position (2θ from 10° to 90°):
2θ/deg, I_rel
18.15, 100
25.64, 43
26.84, 36
29.86, 38
31.51, 18
35.06, 35
49.03, 28
62.89, 21

Cell and atoms:
Cell: 5.2289 5.2289 11.3557 Å, 90.00 90.00 138.37°
Fractional coordinates of all 16 atoms:
1 Mg 0.0996 0.9004 0.7500
2 Mg 0.9004 0.0996 0.2500
3 Mn 0.2124 0.7876 0.0985
4 Mn 0.2124 0.7876 0.4015
5 Mn 0.7876 0.2124 0.5985
6 Mn 0.7876 0.2124 0.9015
7 O 0.0386 0.9614 0.1234
8 O 0.0386 0.9614 0.3766
9 O 0.2395 0.7605 0.5794
10 O 0.2395 0.7605 0.9206
11 O 0.3001 0.6999 0.2500
12 O 0.6999 0.3001 0.7500
13 O 0.7605 0.2395 0.0794
14 O 0.7605 0.2395 0.4206
15 O 0.9614 0.0386 0.6234
16 O 0.9614 0.0386 0.8766